Theoretical powder diffractogram
Compound: Cd4B
Radiation: Cu Ka
Structure: the PBE geometry in OQMD
Neutral-atom scattering factors, no anomalous dispersion.

Structure:
Lattice parameters (Å, degrees): 4.263 4.263 10.778 90.00 90.00 90.00
Fractional coordinates of all 10 atoms:
1 Cd 0.250 0.250 0.014
2 Cd 0.250 0.750 0.227
3 Cd 0.250 0.750 0.500
4 Cd 0.250 0.750 0.773
5 Cd 0.750 0.250 0.227
6 Cd 0.750 0.250 0.500
7 Cd 0.750 0.250 0.773
8 Cd 0.750 0.750 0.986
9 B 0.250 0.250 0.644
10 B 0.750 0.750 0.356

Main lines, in order of rising 2θ (10 to 90 degrees two-theta):
hkl 1 1 1, 30.80°, I = 64.8
hkl 0 0 4, 33.25°, I = 60.2
hkl 1 1 2, 34.08°, I = 63.4
hkl 1 1 3, 39.01°, I = 100.0
hkl 2 0 0, 42.41°, I = 79.1
hkl 2 0 4, 54.93°, I = 54.9